(1)
This entry pairs a crystal structure of Nd3Sm2Cd2 with its theoretical X-ray powder pattern. Radiation: a wavelength of 1.5418 Å. Structure: a structure optimized by DFT (PBE).
No peak broadening, texture or thermal motion is included.

Atomic structure:
```
data_Nd3Sm2Cd2
_symmetry_space_group_name_H-M 'C m m m'
_symmetry_Int_Tables_number 65
_symmetry_space_group_name_Hall '-C 2 2'
_cell_length_a 3.687
_cell_length_b 32.855
_cell_length_c 3.653
_cell_angle_alpha 90.00
_cell_angle_beta 90.00
_cell_angle_gamma 90.00
loop_
_atom_site_label
_atom_site_fract_x
_atom_site_fract_y
_atom_site_fract_z
Nd1 0.000 0.000 0.000
Nd2 0.000 0.421 0.500
Sm1 0.000 0.296 0.500
Cd1 0.000 0.142 0.000
```

Top 10 peaks for 5 to 70 degrees two-theta, sorted by position:
3.039 Å, intensity 36.1, hkl 0 6 1; 2.900 Å, intensity 100.0, hkl 1 7 0; 2.730 Å, intensity 49.0, hkl 0 8 1; 2.587 Å, intensity 68.9, hkl 1 1 1; 2.347 Å, intensity 20.3, hkl 0 14 0; 1.844 Å, intensity 14.7, hkl 2 0 0; 1.826 Å, intensity 17.6, hkl 0 0 2; 1.674 Å, intensity 22.7, hkl 1 15 1; 1.545 Å, intensity 29.8, hkl 1 7 2; 1.528 Å, intensity 16.7, hkl 2 8 1

(2)
This entry pairs a crystal structure of Dy2MgH with its theoretical X-ray powder pattern. Radiation: a wavelength of 1.5418 Å. Structure: a structure optimized by DFT (PBE).
No peak broadening, texture or thermal motion is included.

Atomic structure:
```
data_Dy2MgH
_symmetry_space_group_name_H-M 'R -3 m'
_symmetry_Int_Tables_number 166
_symmetry_space_group_name_Hall '-R 3 2"'
_cell_length_a 3.5628
_cell_length_b 3.5628
_cell_length_c 24.2486
_cell_angle_alpha 90.00
_cell_angle_beta 90.00
_cell_angle_gamma 120.00
loop_
_atom_site_label
_atom_site_fract_x
_atom_site_fract_y
_atom_site_fract_z
Dy1 0.0000 0.0000 0.2228
Mg1 0.0000 0.0000 0.0000
H1 0.0000 0.0000 0.5000
```

Top 10 peaks for 5 to 70 degrees two-theta, sorted by position:
8.083 Å, intensity 78.5, hkl 0 0 3; 4.041 Å, intensity 17.9, hkl 0 0 6; 2.990 Å, intensity 100.0, hkl 0 1 2; 2.750 Å, intensity 80.9, hkl 1 0 4; 2.694 Å, intensity 39.8, hkl 0 0 9; 2.603 Å, intensity 64.9, hkl 0 1 5; 2.304 Å, intensity 48.7, hkl 1 0 7; 1.794 Å, intensity 24.0, hkl 0 1 11; 1.781 Å, intensity 35.8, hkl 1 1 0; 1.486 Å, intensity 39.0, hkl 1 1 9

(3)
This entry pairs a crystal structure of Zr3Ga5 with its theoretical X-ray powder pattern. Radiation: a wavelength of 1.5418 Å. Structure: a structure optimized by DFT (PBE).
No peak broadening, texture or thermal motion is included.

Atomic structure:
```
data_Zr3Ga5
_symmetry_space_group_name_H-M 'C m c m'
_symmetry_Int_Tables_number 63
_symmetry_space_group_name_Hall '-C 2c 2'
_cell_length_a 8.893
_cell_length_b 7.151
_cell_length_c 9.093
_cell_angle_alpha 90.00
_cell_angle_beta 90.00
_cell_angle_gamma 90.00
loop_
_atom_site_label
_atom_site_fract_x
_atom_site_fract_y
_atom_site_fract_z
Zr1 0.000 0.137 0.250
Zr2 0.205 0.500 0.000
Ga1 0.000 0.184 0.550
Ga2 0.000 0.483 0.750
Ga3 0.209 0.212 0.750
```

Top 10 peaks for 5 to 70 degrees two-theta, sorted by position:
2.811 Å, intensity 15.2, hkl 0 2 2; 2.663 Å, intensity 30.0, hkl 1 1 3; 2.376 Å, intensity 100.0, hkl 2 2 2; 2.346 Å, intensity 28.8, hkl 3 1 2; 2.302 Å, intensity 36.0, hkl 1 3 0; 2.273 Å, intensity 38.8, hkl 0 0 4; 2.223 Å, intensity 27.0, hkl 4 0 0; 2.051 Å, intensity 24.8, hkl 2 2 3; 2.032 Å, intensity 27.2, hkl 3 1 3; 1.426 Å, intensity 19.3, hkl 5 3 0

(4)
This entry pairs a crystal structure of Tb2TeN with its theoretical X-ray powder pattern. Radiation: a wavelength of 1.5418 Å. Structure: a structure optimized by DFT (PBE).
No peak broadening, texture or thermal motion is included.

Atomic structure:
```
data_Tb2TeN
_symmetry_space_group_name_H-M 'P 1 21/c 1'
_symmetry_Int_Tables_number 14
_symmetry_space_group_name_Hall '-P 2ybc'
_cell_length_a 8.095
_cell_length_b 6.949
_cell_length_c 6.739
_cell_angle_alpha 90.00
_cell_angle_beta 91.83
_cell_angle_gamma 90.00
loop_
_atom_site_label
_atom_site_fract_x
_atom_site_fract_y
_atom_site_fract_z
Tb1 0.084 0.166 0.360
Tb2 0.286 0.677 0.546
Te1 0.374 0.103 0.703
N1 0.107 0.667 0.843
```

Top 10 peaks for 5 to 70 degrees two-theta, sorted by position:
3.474 Å, intensity 13.9, hkl 0 2 0; 3.069 Å, intensity 50.3, hkl 2 1 1; 3.030 Å, intensity 22.7, hkl 0 1 2; 2.899 Å, intensity 100.0, hkl 1 2 -1; 2.812 Å, intensity 61.2, hkl 1 1 2; 2.630 Å, intensity 47.5, hkl 2 0 -2; 2.514 Å, intensity 44.9, hkl 3 1 0; 2.137 Å, intensity 18.4, hkl 0 1 3; 1.918 Å, intensity 25.4, hkl 2 3 1; 1.613 Å, intensity 17.4, hkl 0 3 3